BaPaFe2O6: theoretical X-ray powder pattern (a wavelength of 1.5418 Å), based on a structure optimized by DFT (GGA+U).

Largest 10 diffraction maxima, low angle first, 2θ = 5–70°:
2θ 18.33, 4.841 Å, intensity 42, hkl 1 0 1; 2θ 20.79, 4.273 Å, intensity 83, hkl 0 1 2; 2θ 28.67, 3.114 Å, intensity 100, hkl 1 0 4; 2θ 30.44, 2.937 Å, intensity 99, hkl 1 1 0; 2θ 37.14, 2.420 Å, intensity 26, hkl 2 0 2; 2θ 42.30, 2.137 Å, intensity 31, hkl 0 2 4; 2θ 46.39, 1.957 Å, intensity 60, hkl 1 1 6; 2θ 48.75, 1.868 Å, intensity 19, hkl 3 -2 2; 2θ 53.00, 1.728 Å, intensity 38, hkl 3 -1 4; 2θ 54.08, 1.696 Å, intensity 27, hkl 3 0 0

Structural model:
```
data_BaPaFe2O6
_chemical_formula_sum 'Ba3 Pa3 Fe6 O18'
_cell_length_a 5.8740
_cell_length_b 5.8740
_cell_length_c 15.7533
_cell_angle_alpha 90.00
_cell_angle_beta 90.00
_cell_angle_gamma 120.00
_space_group_name_H-M_alt 'R -3'
_space_group_IT_number 148
_space_group_name_Hall '-R 3'
loop_
_atom_site_label
_atom_site_fract_x
_atom_site_fract_y
_atom_site_fract_z
Ba1 0.0000 0.0000 0.0000
Pa1 0.0000 0.0000 0.5000
Fe1 0.0000 0.0000 0.2983
O1 0.0157 0.5993 0.0788
```